No. 1
Computed XRD peak list
Compound: La3Pm2Sm7
Radiation: λ = 1.5418 Å (Cu Kα)
Structure: DFT lattice parameters and positions (GGA-PBE)
Kinematic intensities with the Lorentz-polarization factor, no thermal factor.

Main lines, by angle (10 to 90 degrees two-theta):
29.0 deg, rel. 29; 29.9 deg, rel. 100; 30.6 deg, rel. 54; 32.9 deg, rel. 37; 33.9 deg, rel. 41; 37.0 deg, rel. 15; 49.0 deg, rel. 20; 50.6 deg, rel. 14; 51.3 deg, rel. 13; 59.9 deg, rel. 28

```
data_La3Pm2Sm7
_chemical_formula_sum 'La3 Pm2 Sm7'
_space_group_name_H-M_alt 'P 1'
_space_group_IT_number 1
_cell_length_a 6.506
_cell_length_b 3.608
_cell_length_c 18.015
_cell_angle_alpha 90.00
_cell_angle_beta 96.29
_cell_angle_gamma 90.00
loop_
_space_group_symop_operation_xyz
'x,y,z'
loop_
_atom_site_label
_atom_site_type_symbol
_atom_site_fract_x
_atom_site_fract_y
_atom_site_fract_z
La1 La 0.000 0.000 0.000
La2 La 0.046 0.500 0.661
La3 La 0.954 0.500 0.339
Pm1 Pm 0.447 0.000 0.328
Pm2 Pm 0.553 0.000 0.672
Sm1 Sm 0.229 0.500 0.166
Sm2 Sm 0.246 0.000 0.500
Sm3 Sm 0.275 0.000 0.834
Sm4 Sm 0.500 0.500 0.000
Sm5 Sm 0.725 0.000 0.166
Sm6 Sm 0.754 0.000 0.500
Sm7 Sm 0.771 0.500 0.834
```

***

No. 2
Computed XRD peak list
Compound: Ac2ZrAlO6
Radiation: λ = 1.5418 Å (Cu Kα)
Structure: DFT lattice parameters and positions (GGA-PBE)
Kinematic intensities with the Lorentz-polarization factor, no thermal factor.

Main lines, by angle (10 to 90 degrees two-theta):
21.9 deg, rel. 34; 30.0 deg, rel. 28; 31.3 deg, rel. 100; 32.2 deg, rel. 24; 37.6 deg, rel. 19; 39.4 deg, rel. 17; 44.6 deg, rel. 29; 54.1 deg, rel. 22; 56.8 deg, rel. 19; 65.3 deg, rel. 17

```
data_Ac2ZrAlO6
_chemical_formula_sum 'Ac2 Zr1 Al1 O6'
_space_group_name_H-M_alt 'P 1'
_space_group_IT_number 1
_cell_length_a 5.722
_cell_length_b 5.722
_cell_length_c 5.722
_cell_angle_alpha 121.80
_cell_angle_beta 117.26
_cell_angle_gamma 90.85
loop_
_space_group_symop_operation_xyz
'x,y,z'
loop_
_atom_site_label
_atom_site_type_symbol
_atom_site_fract_x
_atom_site_fract_y
_atom_site_fract_z
Ac1 Ac 0.241 0.241 0.000
Ac2 Ac 0.759 0.759 0.000
Zr1 Zr 0.500 0.000 0.500
Al1 Al 0.000 0.500 0.500
O1 O 0.227 0.253 0.480
O2 O 0.227 0.747 0.974
O3 O 0.237 0.737 0.500
O4 O 0.763 0.263 0.500
O5 O 0.773 0.253 0.026
O6 O 0.773 0.747 0.520
```

***

No. 3
Computed XRD peak list
Compound: Sr5Nd3Se8
Radiation: λ = 1.5418 Å (Cu Kα)
Structure: DFT lattice parameters and positions (GGA-PBE)
Kinematic intensities with the Lorentz-polarization factor, no thermal factor.

Main lines, by angle (10 to 90 degrees two-theta):
29.0 deg, rel. 100; 41.3 deg, rel. 38; 41.7 deg, rel. 37; 51.0 deg, rel. 7; 51.6 deg, rel. 20; 60.2 deg, rel. 12; 67.9 deg, rel. 17; 68.4 deg, rel. 17; 75.1 deg, rel. 6; 75.9 deg, rel. 12

```
data_Sr5Nd3Se8
_chemical_formula_sum 'Sr5 Nd3 Se8'
_space_group_name_H-M_alt 'P 1'
_space_group_IT_number 1
_cell_length_a 8.739
_cell_length_b 8.739
_cell_length_c 8.739
_cell_angle_alpha 59.43
_cell_angle_beta 59.43
_cell_angle_gamma 59.43
loop_
_space_group_symop_operation_xyz
'x,y,z'
loop_
_atom_site_label
_atom_site_type_symbol
_atom_site_fract_x
_atom_site_fract_y
_atom_site_fract_z
Sr1 Sr 0.000 0.000 0.000
Sr2 Sr 0.000 0.500 0.500
Sr3 Sr 0.500 0.000 0.500
Sr4 Sr 0.500 0.500 0.000
Sr5 Sr 0.500 0.500 0.500
Nd1 Nd 0.000 0.000 0.500
Nd2 Nd 0.000 0.500 0.000
Nd3 Nd 0.500 0.000 0.000
Se1 Se 0.242 0.750 0.750
Se2 Se 0.247 0.247 0.247
Se3 Se 0.250 0.250 0.758
Se4 Se 0.250 0.758 0.250
Se5 Se 0.750 0.242 0.750
Se6 Se 0.750 0.750 0.242
Se7 Se 0.753 0.753 0.753
Se8 Se 0.758 0.250 0.250
```

***

No. 4
Computed XRD peak list
Compound: Zr5Rh6
Radiation: λ = 1.5418 Å (Cu Kα)
Structure: DFT lattice parameters and positions (GGA-PBE)
Kinematic intensities with the Lorentz-polarization factor, no thermal factor.

Main lines, by angle (10 to 90 degrees two-theta):
14.3 deg, rel. 13; 36.2 deg, rel. 14; 38.5 deg, rel. 100; 38.6 deg, rel. 98; 40.8 deg, rel. 83; 52.2 deg, rel. 21; 68.3 deg, rel. 30; 72.7 deg, rel. 25; 72.9 deg, rel. 24; 89.5 deg, rel. 14

```
data_Zr5Rh6
_chemical_formula_sum 'Zr5 Rh6'
_space_group_name_H-M_alt 'P 1'
_space_group_IT_number 1
_cell_length_a 7.815
_cell_length_b 7.815
_cell_length_c 4.422
_cell_angle_alpha 106.16
_cell_angle_beta 106.16
_cell_angle_gamma 53.31
loop_
_space_group_symop_operation_xyz
'x,y,z'
loop_
_atom_site_label
_atom_site_type_symbol
_atom_site_fract_x
_atom_site_fract_y
_atom_site_fract_z
Zr1 Zr 0.000 0.000 0.000
Zr2 Zr 0.178 0.178 0.677
Zr3 Zr 0.361 0.361 0.358
Zr4 Zr 0.639 0.639 0.642
Zr5 Zr 0.822 0.822 0.323
Rh1 Rh 0.066 0.594 0.830
Rh2 Rh 0.224 0.776 0.500
Rh3 Rh 0.406 0.934 0.170
Rh4 Rh 0.594 0.066 0.830
Rh5 Rh 0.776 0.224 0.500
Rh6 Rh 0.934 0.406 0.170
```

***

No. 5
Computed XRD peak list
Compound: TiTe4Au2
Radiation: λ = 1.5418 Å (Cu Kα)
Structure: DFT lattice parameters and positions (GGA-PBE)
Kinematic intensities with the Lorentz-polarization factor, no thermal factor.

Main lines, by angle (10 to 90 degrees two-theta):
12.6 deg, rel. 20; 12.8 deg, rel. 17; 27.3 deg, rel. 48; 29.4 deg, rel. 100; 32.3 deg, rel. 22; 34.2 deg, rel. 25; 38.7 deg, rel. 21; 39.3 deg, rel. 24; 42.9 deg, rel. 29; 48.7 deg, rel. 21

```
data_TiTe4Au2
_chemical_formula_sum 'Ti2 Te8 Au4'
_space_group_name_H-M_alt 'P 1'
_space_group_IT_number 1
_cell_length_a 7.659
_cell_length_b 7.669
_cell_length_c 8.230
_cell_angle_alpha 65.44
_cell_angle_beta 65.40
_cell_angle_gamma 73.52
loop_
_space_group_symop_operation_xyz
'x,y,z'
loop_
_atom_site_label
_atom_site_type_symbol
_atom_site_fract_x
_atom_site_fract_y
_atom_site_fract_z
Ti1 Ti 0.000 0.000 0.000
Ti2 Ti 0.060 0.059 0.484
Te1 Te 0.212 0.209 0.629
Te2 Te 0.212 0.212 0.092
Te3 Te 0.325 0.724 0.493
Te4 Te 0.332 0.731 0.993
Te5 Te 0.725 0.324 0.493
Te6 Te 0.732 0.332 0.993
Te7 Te 0.847 0.845 0.392
Te8 Te 0.850 0.851 0.854
Au1 Au 0.030 0.526 0.245
Au2 Au 0.528 0.028 0.244
Au3 Au 0.528 0.527 0.743
Au4 Au 0.533 0.532 0.240
```

***

No. 6
Computed XRD peak list
Compound: Y3Mg8Sc3
Radiation: λ = 1.5418 Å (Cu Kα)
Structure: DFT lattice parameters and positions (GGA-PBE)
Kinematic intensities with the Lorentz-polarization factor, no thermal factor.

Main lines, by angle (10 to 90 degrees two-theta):
15.1 deg, rel. 44; 19.2 deg, rel. 55; 29.0 deg, rel. 39; 32.0 deg, rel. 100; 32.5 deg, rel. 38; 32.9 deg, rel. 39; 35.0 deg, rel. 59; 35.6 deg, rel. 55; 36.2 deg, rel. 50; 64.6 deg, rel. 31

```
data_Y3Mg8Sc3
_chemical_formula_sum 'Y3 Mg8 Sc3'
_space_group_name_H-M_alt 'P 1'
_space_group_IT_number 1
_cell_length_a 8.856
_cell_length_b 8.856
_cell_length_c 8.856
_cell_angle_alpha 146.95
_cell_angle_beta 97.28
_cell_angle_gamma 92.01
loop_
_space_group_symop_operation_xyz
'x,y,z'
loop_
_atom_site_label
_atom_site_type_symbol
_atom_site_fract_x
_atom_site_fract_y
_atom_site_fract_z
Y1 Y 0.000 0.000 0.000
Y2 Y 0.281 0.281 0.000
Y3 Y 0.719 0.719 0.000
Mg1 Mg 0.010 0.634 0.376
Mg2 Mg 0.125 0.857 0.268
Mg3 Mg 0.259 0.634 0.624
Mg4 Mg 0.412 0.143 0.268
Mg5 Mg 0.588 0.857 0.732
Mg6 Mg 0.741 0.366 0.376
Mg7 Mg 0.875 0.143 0.732
Mg8 Mg 0.990 0.366 0.624
Sc1 Sc 0.350 0.500 0.850
Sc2 Sc 0.500 0.000 0.500
Sc3 Sc 0.650 0.500 0.150
```

***

No. 7
Computed XRD peak list
Compound: CeFeNi
Radiation: λ = 1.5418 Å (Cu Kα)
Structure: DFT lattice parameters and positions (GGA-PBE)
Kinematic intensities with the Lorentz-polarization factor, no thermal factor.

Main lines, by angle (10 to 90 degrees two-theta):
35.1 deg, rel. 100; 35.6 deg, rel. 22; 36.2 deg, rel. 25; 40.7 deg, rel. 44; 40.9 deg, rel. 43; 42.0 deg, rel. 85; 42.4 deg, rel. 74; 43.5 deg, rel. 20; 44.0 deg, rel. 22; 74.2 deg, rel. 37

```
data_CeFeNi
_chemical_formula_sum 'Ce2 Fe2 Ni2'
_space_group_name_H-M_alt 'P 1'
_space_group_IT_number 1
_cell_length_a 5.116
_cell_length_b 5.116
_cell_length_c 5.116
_cell_angle_alpha 121.99
_cell_angle_beta 120.99
_cell_angle_gamma 87.44
loop_
_space_group_symop_operation_xyz
'x,y,z'
loop_
_atom_site_label
_atom_site_type_symbol
_atom_site_fract_x
_atom_site_fract_y
_atom_site_fract_z
Ce1 Ce 0.373 0.123 0.250
Ce2 Ce 0.627 0.877 0.750
Fe1 Fe 0.000 0.000 0.500
Fe2 Fe 0.000 0.500 0.000
Ni1 Ni 0.000 0.500 0.500
Ni2 Ni 0.500 0.500 0.000
```